# 1
For Mg13Al14, a cell relaxed with PBE gives the computed X-ray powder pattern in this record (λ = 1.5418 Å (Cu Kα)).
Lines closer than 0.1° are merged.

Structure:
abc: 8.831 8.831 8.831
angles: 109.47 109.47 109.47
Sites, in units of the cell vectors:
Mg1 0.000 0.000 0.000
Mg2 0.000 0.344 0.656
Mg3 0.000 0.656 0.344
Mg4 0.313 0.656 0.656
Mg5 0.344 0.000 0.656
Mg6 0.344 0.344 0.687
Mg7 0.344 0.656 0.000
Mg8 0.344 0.687 0.344
Mg9 0.656 0.000 0.344
Mg10 0.656 0.313 0.656
Mg11 0.656 0.344 0.000
Mg12 0.656 0.656 0.313
Mg13 0.687 0.344 0.344
Al1 0.000 0.000 0.342
Al2 0.000 0.000 0.658
Al3 0.000 0.300 0.300
Al4 0.000 0.342 0.000
Al5 0.000 0.658 0.000
Al6 0.000 0.700 0.700
Al7 0.300 0.000 0.300
Al8 0.300 0.300 0.000
Al9 0.342 0.000 0.000
Al10 0.342 0.342 0.342
Al11 0.658 0.000 0.000
Al12 0.658 0.658 0.658
Al13 0.700 0.000 0.700
Al14 0.700 0.700 0.000

Peak list (6 most intense, 10 to 80 degrees two-theta, in order of falling intensity)
two_theta, d [Å], I/Imax
37.42, 2.404, 100
67.50, 1.388, 30
53.95, 1.700, 16
79.81, 1.202, 8
75.78, 1.255, 4
48.92, 1.862, 2

=====

# 2
For Mg16Al13, a cell relaxed with PBE gives the computed X-ray powder pattern in this record (λ = 1.5418 Å (Cu Kα)).
Lines closer than 0.1° are merged.

Structure:
abc: 9.103 9.103 9.046
angles: 108.86 108.86 110.57
Sites, in units of the cell vectors:
Mg1 0.000 0.000 0.000
Mg2 0.000 0.000 0.654
Mg3 0.000 0.399 0.684
Mg4 0.001 0.654 0.001
Mg5 0.285 0.602 0.602
Mg6 0.315 0.315 0.714
Mg7 0.318 0.714 0.316
Mg8 0.349 0.349 0.346
Mg9 0.399 0.000 0.684
Mg10 0.400 0.683 0.002
Mg11 0.602 0.285 0.602
Mg12 0.654 0.001 0.001
Mg13 0.683 0.400 0.002
Mg14 0.683 0.998 0.398
Mg15 0.714 0.318 0.316
Mg16 0.998 0.683 0.398
Al1 0.000 0.368 0.186
Al2 0.001 0.184 0.368
Al3 0.181 0.813 0.814
Al4 0.184 0.001 0.368
Al5 0.187 0.367 0.000
Al6 0.367 0.187 0.000
Al7 0.368 0.000 0.186
Al8 0.606 0.606 0.290
Al9 0.633 0.633 0.820
Al10 0.634 0.816 0.631
Al11 0.810 0.810 0.182
Al12 0.813 0.181 0.814
Al13 0.816 0.634 0.631

Peak list (6 most intense, 10 to 80 degrees two-theta, in order of falling intensity)
two_theta, d [Å], I/Imax
36.13, 2.486, 100
36.05, 2.492, 60
36.67, 2.451, 59
40.32, 2.237, 58
36.22, 2.480, 40
36.35, 2.472, 38

=====

# 3
For Mg15Al, a cell relaxed with PBE gives the computed X-ray powder pattern in this record (λ = 1.5418 Å (Cu Kα)).
Lines closer than 0.1° are merged.

Structure:
abc: 6.365 6.365 10.248
angles: 90.00 90.00 120.00
Sites, in units of the cell vectors:
Mg1 0.000 0.000 0.000
Mg2 0.000 0.500 0.000
Mg3 0.166 0.331 0.252
Mg4 0.166 0.331 0.748
Mg5 0.166 0.834 0.252
Mg6 0.166 0.834 0.748
Mg7 0.500 0.000 0.000
Mg8 0.500 0.500 0.000
Mg9 0.501 0.001 0.500
Mg10 0.501 0.499 0.500
Mg11 0.667 0.333 0.250
Mg12 0.667 0.333 0.750
Mg13 0.669 0.834 0.252
Mg14 0.669 0.834 0.748
Mg15 0.999 0.499 0.500
Al1 0.000 0.000 0.500

Peak list (6 most intense, 10 to 80 degrees two-theta, in order of falling intensity)
two_theta, d [Å], I/Imax
37.03, 2.427, 100
35.02, 2.562, 26
32.48, 2.756, 24
69.54, 1.352, 19
64.14, 1.452, 19
57.95, 1.591, 17

=====

# 4
For Mg3Al, a cell relaxed with PBE gives the computed X-ray powder pattern in this record (λ = 1.5418 Å (Cu Kα)).
Lines closer than 0.1° are merged.

Structure:
abc: 6.153 6.153 5.096
angles: 90.00 90.00 120.00
Sites, in units of the cell vectors:
Mg1 0.169 0.337 0.250
Mg2 0.169 0.831 0.250
Mg3 0.337 0.169 0.750
Mg4 0.663 0.831 0.250
Mg5 0.831 0.169 0.750
Mg6 0.831 0.663 0.750
Al1 0.333 0.667 0.750
Al2 0.667 0.333 0.250

Peak list (6 most intense, 10 to 80 degrees two-theta, in order of falling intensity)
two_theta, d [Å], I/Imax
38.11, 2.361, 100
35.22, 2.548, 28
33.64, 2.664, 24
65.12, 1.432, 19
71.66, 1.317, 19
60.15, 1.538, 17

=====

# 5
For Mg13Al16, a cell relaxed with PBE gives the computed X-ray powder pattern in this record (λ = 1.5418 Å (Cu Kα)).
Lines closer than 0.1° are merged.

Structure:
abc: 9.027 9.027 9.027
angles: 109.47 109.47 109.47
Sites, in units of the cell vectors:
Mg1 0.000 0.000 0.000
Mg2 0.000 0.402 0.687
Mg3 0.000 0.687 0.402
Mg4 0.285 0.598 0.598
Mg5 0.313 0.313 0.715
Mg6 0.313 0.715 0.313
Mg7 0.402 0.000 0.687
Mg8 0.402 0.687 0.000
Mg9 0.598 0.285 0.598
Mg10 0.598 0.598 0.285
Mg11 0.687 0.000 0.402
Mg12 0.687 0.402 0.000
Mg13 0.715 0.313 0.313
Al1 0.000 0.000 0.657
Al2 0.000 0.186 0.367
Al3 0.000 0.367 0.186
Al4 0.000 0.657 0.000
Al5 0.181 0.814 0.814
Al6 0.186 0.000 0.367
Al7 0.186 0.367 0.000
Al8 0.343 0.343 0.343
Al9 0.367 0.000 0.186
Al10 0.367 0.186 0.000
Al11 0.633 0.633 0.819
Al12 0.633 0.819 0.633
Al13 0.657 0.000 0.000
Al14 0.814 0.181 0.814
Al15 0.814 0.814 0.181
Al16 0.819 0.633 0.633

Peak list (6 most intense, 10 to 80 degrees two-theta, in order of falling intensity)
two_theta, d [Å], I/Imax
36.58, 2.457, 100
40.60, 2.222, 29
65.84, 1.418, 26
44.31, 2.044, 16
42.49, 2.128, 11
77.74, 1.228, 8

=====

# 6
For MgAl3, a cell relaxed with PBE gives the computed X-ray powder pattern in this record (λ = 1.5418 Å (Cu Kα)).
Lines closer than 0.1° are merged.

Structure:
abc: 5.818 5.818 4.882
angles: 90.00 90.00 120.00
Sites, in units of the cell vectors:
Mg1 0.333 0.667 0.250
Mg2 0.667 0.333 0.750
Al1 0.162 0.324 0.750
Al2 0.162 0.838 0.750
Al3 0.324 0.162 0.250
Al4 0.676 0.838 0.750
Al5 0.838 0.162 0.250
Al6 0.838 0.676 0.250

Peak list (6 most intense, 10 to 80 degrees two-theta, in order of falling intensity)
two_theta, d [Å], I/Imax
40.28, 2.239, 100
36.82, 2.441, 29
35.63, 2.519, 24
68.66, 1.367, 20
76.19, 1.250, 19
78.39, 1.220, 16

=====

# 7
For Mg2Al3, a cell relaxed with PBE gives the computed X-ray powder pattern in this record (λ = 1.5418 Å (Cu Kα)).
Lines closer than 0.1° are merged.

Structure:
abc: 10.634 10.634 10.634
angles: 144.72 144.72 50.75
Sites, in units of the cell vectors:
Mg1 0.168 0.194 0.526
Mg2 0.168 0.642 0.974
Mg3 0.194 0.168 0.026
Mg4 0.358 0.832 0.526
Mg5 0.642 0.168 0.474
Mg6 0.806 0.832 0.974
Mg7 0.832 0.358 0.026
Mg8 0.832 0.806 0.474
Al1 0.000 0.000 0.000
Al2 0.000 0.000 0.500
Al3 0.000 0.500 0.000
Al4 0.216 0.678 0.538
Al5 0.322 0.359 0.538
Al6 0.322 0.784 0.962
Al7 0.359 0.322 0.038
Al8 0.500 0.000 0.500
Al9 0.641 0.678 0.962
Al10 0.678 0.216 0.038
Al11 0.678 0.641 0.462
Al12 0.784 0.322 0.462

Peak list (6 most intense, 10 to 80 degrees two-theta, in order of falling intensity)
two_theta, d [Å], I/Imax
39.68, 2.272, 100
39.55, 2.279, 51
71.83, 1.314, 29
31.38, 2.850, 15
57.17, 1.611, 15
29.23, 3.055, 15

=====

# 8
For Mg3Al, a cell relaxed with PBE gives the computed X-ray powder pattern in this record (λ = 1.5418 Å (Cu Kα)).
Lines closer than 0.1° are merged.

Structure:
abc: 5.374 5.374 5.374
angles: 131.88 131.88 70.43
Sites, in units of the cell vectors:
Mg1 0.000 0.000 0.000
Mg2 0.250 0.750 0.500
Mg3 0.750 0.250 0.500
Al1 0.500 0.500 0.000

Peak list (6 most intense, 10 to 80 degrees two-theta, in order of falling intensity)
two_theta, d [Å], I/Imax
35.46, 2.532, 100
41.17, 2.193, 49
59.64, 1.550, 31
71.37, 1.322, 24
71.26, 1.323, 12
75.03, 1.266, 10

=====

Repeat the third record exactly.
For Mg15Al, a cell relaxed with PBE gives the computed X-ray powder pattern in this record (λ = 1.5418 Å (Cu Kα)).
Lines closer than 0.1° are merged.

Structure:
abc: 6.365 6.365 10.248
angles: 90.00 90.00 120.00
Sites, in units of the cell vectors:
Mg1 0.000 0.000 0.000
Mg2 0.000 0.500 0.000
Mg3 0.166 0.331 0.252
Mg4 0.166 0.331 0.748
Mg5 0.166 0.834 0.252
Mg6 0.166 0.834 0.748
Mg7 0.500 0.000 0.000
Mg8 0.500 0.500 0.000
Mg9 0.501 0.001 0.500
Mg10 0.501 0.499 0.500
Mg11 0.667 0.333 0.250
Mg12 0.667 0.333 0.750
Mg13 0.669 0.834 0.252
Mg14 0.669 0.834 0.748
Mg15 0.999 0.499 0.500
Al1 0.000 0.000 0.500

Peak list (6 most intense, 10 to 80 degrees two-theta, in order of falling intensity)
two_theta, d [Å], I/Imax
37.03, 2.427, 100
35.02, 2.562, 26
32.48, 2.756, 24
69.54, 1.352, 19
64.14, 1.452, 19
57.95, 1.591, 17